# 1
Calculated X-ray diffraction stick pattern
Compound: Zr6CdAu
Radiation: Cu Kα
Structure: the GGA-PBE geometry in OQMD
Kinematic intensities with the Lorentz-polarization factor, no thermal factor.

Structural model:
```
data_Zr6CdAu
_cell_length_a 5.569
_cell_length_b 5.569
_cell_length_c 5.569
_cell_angle_alpha 90.00
_cell_angle_beta 90.00
_cell_angle_gamma 90.00
_space_group_name_H-M_alt 'P m -3'
_space_group_IT_number 200
_space_group_name_Hall '-P 2 2 3'
loop_
_atom_site_label
_atom_site_type_symbol
_atom_site_fract_x
_atom_site_fract_y
_atom_site_fract_z
Zr1 Zr 0.000 0.247 0.500
Cd1 Cd 0.500 0.500 0.500
Au1 Au 0.000 0.000 0.000
```

Principal peaks in the range 2θ = 10–80°, most intense first:
| d_spacing | I (rel.) | (hkl) |
| --- | --- | --- |
| 2.274 | 100 | 2 1 1 |
| 2.491 | 76 | 2 1 0 |
| 1.488 | 52 | 3 1 2 |
| 2.785 | 44 | 2 0 0 |
| 1.545 | 17 | 3 0 2 |
| 1.392 | 15 | 4 0 0 |



# 2
Calculated X-ray diffraction stick pattern
Compound: AuCl5
Radiation: Cu Kα
Structure: the GGA-PBE geometry in OQMD
Kinematic intensities with the Lorentz-polarization factor, no thermal factor.

Structural model:
```
data_AuCl5
_cell_length_a 8.070
_cell_length_b 7.931
_cell_length_c 10.945
_cell_angle_alpha 90.00
_cell_angle_beta 90.00
_cell_angle_gamma 90.00
_space_group_name_H-M_alt 'C m c 21'
_space_group_IT_number 36
loop_
_space_group_symop_operation_xyz
'x,y,z'
'-x,-y,z+1/2'
'-x,y,z'
'x,-y,z+1/2'
'x+1/2,y+1/2,z'
'-x+1/2,-y+1/2,z+1/2'
'-x+1/2,y+1/2,z'
'x+1/2,-y+1/2,z+1/2'
loop_
_atom_site_label
_atom_site_type_symbol
_atom_site_fract_x
_atom_site_fract_y
_atom_site_fract_z
Au1 Au 0.000 0.218 0.000
Cl1 Cl 0.000 0.201 0.212
Cl2 Cl 0.000 0.234 0.788
Cl3 Cl 0.000 0.485 0.252
Cl4 Cl 0.213 0.279 0.500
```

Principal peaks in the range 2θ = 10–80°, most intense first:
| d_spacing | I (rel.) | (hkl) |
| --- | --- | --- |
| 5.025 | 100 | 1 1 1 |
| 3.966 | 31 | 0 2 0 |
| 2.481 | 30 | 3 1 1 |
| 4.035 | 24 | 2 0 0 |
| 3.211 | 24 | 0 2 2 |
| 5.472 | 22 | 0 0 2 |



# 3
Calculated X-ray diffraction stick pattern
Compound: AuCl
Radiation: Cu Kα
Structure: the GGA-PBE geometry in OQMD
Kinematic intensities with the Lorentz-polarization factor, no thermal factor.

Structural model:
```
data_AuCl
_cell_length_a 7.077
_cell_length_b 7.077
_cell_length_c 8.658
_cell_angle_alpha 90.00
_cell_angle_beta 90.00
_cell_angle_gamma 90.00
_space_group_name_H-M_alt 'I 41/a m d'
_space_group_IT_number 141
loop_
_space_group_symop_operation_xyz
'x,y,z'
'-x,-y,-z'
'-y+1/4,x+3/4,z+1/4'
'y+1/4,-x+3/4,-z+1/4'
'-x+1/2,-y,z+1/2'
'x+1/2,y,-z+1/2'
'y+1/4,-x+1/4,z+3/4'
'-y+1/4,x+1/4,-z+3/4'
'x,-y,-z'
'-x,y,z'
'-y+1/4,-x+1/4,-z+3/4'
'y+1/4,x+1/4,z+3/4'
'-x+1/2,y,-z+1/2'
'x+1/2,-y,z+1/2'
'y+1/4,x+3/4,-z+1/4'
'-y+1/4,-x+3/4,z+1/4'
'x+1/2,y+1/2,z+1/2'
'-x+1/2,-y+1/2,-z+1/2'
'-y+3/4,x+1/4,z+3/4'
'y+3/4,-x+1/4,-z+3/4'
'-x,-y+1/2,z'
'x,y+1/2,-z'
'y+3/4,-x+3/4,z+1/4'
'-y+3/4,x+3/4,-z+1/4'
'x+1/2,-y+1/2,-z+1/2'
'-x+1/2,y+1/2,z+1/2'
'-y+3/4,-x+3/4,-z+1/4'
'y+3/4,x+3/4,z+1/4'
'-x,y+1/2,-z'
'x,-y+1/2,z'
'y+3/4,x+1/4,-z+3/4'
'-y+3/4,-x+1/4,z+3/4'
loop_
_atom_site_label
_atom_site_type_symbol
_atom_site_fract_x
_atom_site_fract_y
_atom_site_fract_z
Au1 Au 0.000 0.000 0.000
Cl1 Cl 0.000 0.250 0.174
```

Principal peaks in the range 2θ = 10–80°, most intense first:
| d_spacing | I (rel.) | (hkl) |
| --- | --- | --- |
| 5.479 | 100 | 1 0 1 |
| 2.740 | 91 | 2 0 2 |
| 2.972 | 66 | 2 1 1 |
| 2.132 | 32 | 2 1 3 |
| 1.486 | 29 | 4 2 2 |
| 2.502 | 24 | 2 2 0 |



# 4
Calculated X-ray diffraction stick pattern
Compound: AuCl
Radiation: Cu Kα
Structure: the GGA-PBE geometry in OQMD
Kinematic intensities with the Lorentz-polarization factor, no thermal factor.

Structural model:
```
data_AuCl
_cell_length_a 4.314
_cell_length_b 4.314
_cell_length_c 11.702
_cell_angle_alpha 90.00
_cell_angle_beta 90.00
_cell_angle_gamma 90.00
_space_group_name_H-M_alt 'P 42/n c m'
_space_group_IT_number 138
loop_
_space_group_symop_operation_xyz
'x,y,z'
'-x,-y,-z'
'-y+1/2,x,z+1/2'
'y+1/2,-x,-z+1/2'
'-x+1/2,-y+1/2,z'
'x+1/2,y+1/2,-z'
'y,-x+1/2,z+1/2'
'-y,x+1/2,-z+1/2'
'x+1/2,-y,-z+1/2'
'-x+1/2,y,z+1/2'
'-y,-x,-z'
'y,x,z'
'-x,y+1/2,-z+1/2'
'x,-y+1/2,z+1/2'
'y+1/2,x+1/2,-z'
'-y+1/2,-x+1/2,z'
loop_
_atom_site_label
_atom_site_type_symbol
_atom_site_fract_x
_atom_site_fract_y
_atom_site_fract_z
Au1 Au 0.000 0.000 0.000
Cl1 Cl 0.250 0.250 0.154
```

Principal peaks in the range 2θ = 10–80°, most intense first:
| d_spacing | I (rel.) | (hkl) |
| --- | --- | --- |
| 5.851 | 100 | 0 0 2 |
| 2.952 | 93 | 1 1 1 |
| 2.403 | 53 | 1 1 3 |
| 2.024 | 36 | 2 0 2 |
| 1.736 | 25 | 2 0 4 |
| 1.857 | 25 | 1 1 5 |



# 5
Calculated X-ray diffraction stick pattern
Compound: AuCl
Radiation: Cu Kα
Structure: the GGA-PBE geometry in OQMD
Kinematic intensities with the Lorentz-polarization factor, no thermal factor.

Structural model:
```
data_AuCl
_cell_length_a 7.034
_cell_length_b 7.034
_cell_length_c 8.652
_cell_angle_alpha 90.00
_cell_angle_beta 90.00
_cell_angle_gamma 90.00
_space_group_name_H-M_alt 'I 41/a m d'
_space_group_IT_number 141
loop_
_space_group_symop_operation_xyz
'x,y,z'
'-x,-y,-z'
'-y+1/4,x+3/4,z+1/4'
'y+1/4,-x+3/4,-z+1/4'
'-x+1/2,-y,z+1/2'
'x+1/2,y,-z+1/2'
'y+1/4,-x+1/4,z+3/4'
'-y+1/4,x+1/4,-z+3/4'
'x,-y,-z'
'-x,y,z'
'-y+1/4,-x+1/4,-z+3/4'
'y+1/4,x+1/4,z+3/4'
'-x+1/2,y,-z+1/2'
'x+1/2,-y,z+1/2'
'y+1/4,x+3/4,-z+1/4'
'-y+1/4,-x+3/4,z+1/4'
'x+1/2,y+1/2,z+1/2'
'-x+1/2,-y+1/2,-z+1/2'
'-y+3/4,x+1/4,z+3/4'
'y+3/4,-x+1/4,-z+3/4'
'-x,-y+1/2,z'
'x,y+1/2,-z'
'y+3/4,-x+3/4,z+1/4'
'-y+3/4,x+3/4,-z+1/4'
'x+1/2,-y+1/2,-z+1/2'
'-x+1/2,y+1/2,z+1/2'
'-y+3/4,-x+3/4,-z+1/4'
'y+3/4,x+3/4,z+1/4'
'-x,y+1/2,-z'
'x,-y+1/2,z'
'y+3/4,x+1/4,-z+3/4'
'-y+3/4,-x+1/4,z+3/4'
loop_
_atom_site_label
_atom_site_type_symbol
_atom_site_fract_x
_atom_site_fract_y
_atom_site_fract_z
Au1 Au 0.000 0.000 0.000
Cl1 Cl 0.000 0.250 0.176
```

Principal peaks in the range 2θ = 10–80°, most intense first:
| d_spacing | I (rel.) | (hkl) |
| --- | --- | --- |
| 5.458 | 100 | 1 0 1 |
| 2.729 | 91 | 2 0 2 |
| 2.956 | 66 | 2 1 1 |
| 2.126 | 33 | 2 1 3 |
| 1.478 | 29 | 4 2 2 |
| 2.487 | 24 | 2 2 0 |



# 6
Calculated X-ray diffraction stick pattern
Compound: AuCl3
Radiation: Cu Kα
Structure: the GGA-PBE geometry in OQMD
Kinematic intensities with the Lorentz-polarization factor, no thermal factor.

Structural model:
```
data_AuCl3
_cell_length_a 6.2842
_cell_length_b 6.2842
_cell_length_c 17.2339
_cell_angle_alpha 90.00
_cell_angle_beta 90.00
_cell_angle_gamma 120.00
_space_group_name_H-M_alt 'R -3 c'
_space_group_IT_number 167
_space_group_name_Hall '-R 3 2"c'
loop_
_atom_site_label
_atom_site_type_symbol
_atom_site_fract_x
_atom_site_fract_y
_atom_site_fract_z
Au1 Au 0.0000 0.0000 0.0000
Cl1 Cl 0.0000 0.3524 0.2500
```

Principal peaks in the range 2θ = 10–80°, most intense first:
| d_spacing | I (rel.) | (hkl) |
| --- | --- | --- |
| 4.601 | 100 | 0 1 2 |
| 3.378 | 41 | 1 0 4 |
| 2.120 | 40 | 1 1 6 |
| 2.001 | 31 | 1 2 2 |
| 3.142 | 19 | 1 1 0 |
| 2.595 | 19 | 2 0 2 |



What did the second record say?
Calculated X-ray diffraction stick pattern
Compound: AuCl5
Radiation: Cu Kα
Structure: the GGA-PBE geometry in OQMD
Kinematic intensities with the Lorentz-polarization factor, no thermal factor.

Structural model:
```
data_AuCl5
_cell_length_a 8.070
_cell_length_b 7.931
_cell_length_c 10.945
_cell_angle_alpha 90.00
_cell_angle_beta 90.00
_cell_angle_gamma 90.00
_space_group_name_H-M_alt 'C m c 21'
_space_group_IT_number 36
loop_
_space_group_symop_operation_xyz
'x,y,z'
'-x,-y,z+1/2'
'-x,y,z'
'x,-y,z+1/2'
'x+1/2,y+1/2,z'
'-x+1/2,-y+1/2,z+1/2'
'-x+1/2,y+1/2,z'
'x+1/2,-y+1/2,z+1/2'
loop_
_atom_site_label
_atom_site_type_symbol
_atom_site_fract_x
_atom_site_fract_y
_atom_site_fract_z
Au1 Au 0.000 0.218 0.000
Cl1 Cl 0.000 0.201 0.212
Cl2 Cl 0.000 0.234 0.788
Cl3 Cl 0.000 0.485 0.252
Cl4 Cl 0.213 0.279 0.500
```

Principal peaks in the range 2θ = 10–80°, most intense first:
| d_spacing | I (rel.) | (hkl) |
| --- | --- | --- |
| 5.025 | 100 | 1 1 1 |
| 3.966 | 31 | 0 2 0 |
| 2.481 | 30 | 3 1 1 |
| 4.035 | 24 | 2 0 0 |
| 3.211 | 24 | 0 2 2 |
| 5.472 | 22 | 0 0 2 |